Entry 1:
Structure and computed X-ray powder pattern of ZrScCu10 (DFT lattice parameters and positions (PBE); Cu Ka).
Kinematic intensities with the Lorentz-polarization factor, no thermal factor.

Structural model:
```
data_ZrScCu10
_chemical_formula_sum 'Zr1 Sc1 Cu10'
_cell_length_a 4.1013
_cell_length_b 4.8978
_cell_length_c 8.4386
_cell_angle_alpha 90.00
_cell_angle_beta 90.00
_cell_angle_gamma 90.00
_symmetry_space_group_name_H-M 'P m m m'
_symmetry_Int_Tables_number 47
_symmetry_space_group_name_Hall '-P 2 2'
loop_
_atom_site_label
_atom_site_fract_x
_atom_site_fract_y
_atom_site_fract_z
Zr1 0.0000 0.0000 0.0000
Sc1 0.0000 0.5000 0.5000
Cu1 0.0000 0.0000 0.3345
Cu2 0.0000 0.5000 0.1685
Cu3 0.5000 0.0000 0.5000
Cu4 0.5000 0.2482 0.2476
Cu5 0.5000 0.5000 0.0000
```

Peak list (6 most intense, 2θ = 10–90°, in order of rising 2θ)
| d (Å) | 2θ/deg | I (rel.) | index |
| --- | --- | --- | --- |
| 4.230 | 21.00 | 30.9 | 0 0 2 |
| 2.118 | 42.69 | 28.8 | 0 2 2 |
| 2.103 | 43.02 | 50.4 | 1 2 0 |
| 2.096 | 43.15 | 100.0 | 1 1 3 |
| 2.051 | 44.16 | 52.5 | 2 0 0 |
| 1.882 | 48.37 | 40.1 | 1 2 2 |



Entry 2:
Structure and computed X-ray powder pattern of Cu7Se5 (DFT lattice parameters and positions (PBE); Cu Ka).
Kinematic intensities with the Lorentz-polarization factor, no thermal factor.

Structural model:
```
data_Cu7Se5
_chemical_formula_sum 'Cu14 Se10'
_cell_length_a 7.4010
_cell_length_b 7.4010
_cell_length_c 7.3286
_cell_angle_alpha 90.00
_cell_angle_beta 90.00
_cell_angle_gamma 90.00
_symmetry_space_group_name_H-M 'I 4 m m'
_symmetry_Int_Tables_number 107
_symmetry_space_group_name_Hall 'I 4 -2'
loop_
_atom_site_label
_atom_site_fract_x
_atom_site_fract_y
_atom_site_fract_z
Cu1 0.0000 0.0000 0.0000
Cu2 0.0000 0.2506 0.2978
Cu3 0.0000 0.5000 0.0466
Se1 0.0000 0.0000 0.6743
Se2 0.2453 0.2453 0.0490
```

Peak list (6 most intense, 2θ = 10–90°, in order of rising 2θ)
| d (Å) | 2θ/deg | I (rel.) | index |
| --- | --- | --- | --- |
| 3.016 | 29.62 | 41.1 | 2 1 1 |
| 2.617 | 34.27 | 15.8 | 2 2 0 |
| 2.320 | 38.82 | 15.2 | 1 0 3 |
| 2.129 | 42.45 | 100.0 | 2 2 2 |
| 1.850 | 49.25 | 39.6 | 4 0 0 |
| 1.115 | 87.51 | 22.6 | 6 2 2 |



Entry 3:
Structure and computed X-ray powder pattern of Cu4Se3 (DFT lattice parameters and positions (PBE); Cu Ka).
Kinematic intensities with the Lorentz-polarization factor, no thermal factor.

Structural model:
Cell: 10.2595 10.2595 10.2595 Å, 90.00 90.00 90.00°
Space group Fd-3m (No. 227, origin choice 2)
Symmetry-distinct sites (fractional):
Cu (0.0080, 0.0080, 0.2420) (multiplicity 32)
Se (0.0000, 0.0000, 0.0000) (multiplicity 16)
Se (0.1250, 0.1250, 0.6250) (multiplicity 8)

Peak list (6 most intense, 2θ = 10–90°, in order of rising 2θ)
| d (Å) | 2θ/deg | I (rel.) | index |
| --- | --- | --- | --- |
| 3.627 | 24.54 | 19.8 | 2 2 0 |
| 3.093 | 28.86 | 63.6 | 3 1 1 |
| 2.565 | 34.98 | 70.7 | 4 0 0 |
| 1.974 | 45.97 | 37.0 | 5 1 1 |
| 1.814 | 50.31 | 100.0 | 4 4 0 |
| 1.147 | 84.46 | 17.2 | 8 4 0 |



Entry 4:
Structure and computed X-ray powder pattern of Cu9Se5 (DFT lattice parameters and positions (PBE); Cu Ka).
Kinematic intensities with the Lorentz-polarization factor, no thermal factor.

Structural model:
```
data_Cu9Se5
_chemical_formula_sum 'Cu18 Se10'
_cell_length_a 12.9302
_cell_length_b 5.6622
_cell_length_c 9.1321
_cell_angle_alpha 90.00
_cell_angle_beta 134.86
_cell_angle_gamma 90.00
_symmetry_space_group_name_H-M 'C 1 2 1'
_symmetry_Int_Tables_number 5
_symmetry_space_group_name_Hall 'C 2y'
loop_
_atom_site_label
_atom_site_fract_x
_atom_site_fract_y
_atom_site_fract_z
Cu1 0.0000 0.0000 0.0000
Cu2 0.0975 0.9997 0.3838
Cu3 0.1243 0.4855 0.4389
Cu4 0.1846 0.0153 0.8101
Cu5 0.2131 0.5061 0.8105
Se1 0.0000 0.7518 0.5000
Se2 0.0915 0.2820 0.9013
Se3 0.1909 0.7220 0.2823
```

Peak list (6 most intense, 2θ = 10–90°, in order of rising 2θ)
| d (Å) | 2θ/deg | I (rel.) | index |
| --- | --- | --- | --- |
| 3.316 | 26.89 | 69.7 | 3 1 -2 |
| 2.049 | 44.20 | 25.9 | 2 0 2 |
| 2.042 | 44.35 | 25.4 | 6 0 -4 |
| 2.023 | 44.79 | 100.0 | 4 2 -1 |
| 1.742 | 52.53 | 15.2 | 5 1 0 |
| 1.714 | 53.46 | 9.1 | 1 3 1 |



Entry 5:
Structure and computed X-ray powder pattern of Cu6Se (DFT lattice parameters and positions (PBE); Cu Ka).
Kinematic intensities with the Lorentz-polarization factor, no thermal factor.

Structural model:
```
data_Cu6Se
_chemical_formula_sum 'Cu12 Se2'
_cell_length_a 6.4515
_cell_length_b 6.4515
_cell_length_c 6.4515
_cell_angle_alpha 90.00
_cell_angle_beta 90.00
_cell_angle_gamma 90.00
_symmetry_space_group_name_H-M 'I m -3 m'
_symmetry_Int_Tables_number 229
_symmetry_space_group_name_Hall '-I 4 2 3'
loop_
_atom_site_label
_atom_site_fract_x
_atom_site_fract_y
_atom_site_fract_z
Cu1 0.0000 0.2500 0.5000
Se1 0.0000 0.0000 0.0000
```

Peak list (6 most intense, 2θ = 10–90°, in order of rising 2θ)
| d (Å) | 2θ/deg | I (rel.) | index |
| --- | --- | --- | --- |
| 3.226 | 27.65 | 43.4 | 2 0 0 |
| 2.634 | 34.04 | 100.0 | 2 1 1 |
| 1.862 | 48.91 | 27.1 | 2 2 2 |
| 1.724 | 53.12 | 53.4 | 3 2 1 |
| 1.613 | 57.11 | 27.0 | 4 0 0 |
| 1.140 | 85.06 | 16.1 | 4 4 0 |



Entry 6:
Structure and computed X-ray powder pattern of Cu4Se3 (DFT lattice parameters and positions (PBE); Cu Ka).
Kinematic intensities with the Lorentz-polarization factor, no thermal factor.

Structural model:
```
data_Cu4Se3
_chemical_formula_sum 'Cu12 Se9'
_cell_length_a 3.7589
_cell_length_b 3.7589
_cell_length_c 29.0348
_cell_angle_alpha 90.00
_cell_angle_beta 90.00
_cell_angle_gamma 120.00
_symmetry_space_group_name_H-M 'R -3 m'
_symmetry_Int_Tables_number 166
_symmetry_space_group_name_Hall '-R 3 2"'
loop_
_atom_site_label
_atom_site_fract_x
_atom_site_fract_y
_atom_site_fract_z
Cu1 0.0000 0.0000 0.1194
Cu2 0.0000 0.0000 0.3562
Se1 0.0000 0.0000 0.2692
Se2 0.0000 0.0000 0.5000
```

Peak list (6 most intense, 2θ = 10–90°, in order of rising 2θ)
| d (Å) | 2θ/deg | I (rel.) | index |
| --- | --- | --- | --- |
| 2.840 | 31.51 | 69.2 | 0 1 5 |
| 2.423 | 37.10 | 100.0 | 0 1 8 |
| 1.879 | 48.43 | 81.3 | 1 1 0 |
| 1.842 | 49.49 | 61.8 | 1 0 13 |
| 1.485 | 62.54 | 20.7 | 2 0 8 |
| 1.114 | 87.61 | 20.8 | 1 1 21 |



Entry 7:
Structure and computed X-ray powder pattern of CuSe2 (DFT lattice parameters and positions (PBE); Cu Ka).
Kinematic intensities with the Lorentz-polarization factor, no thermal factor.

Structural model:
```
data_CuSe2
_chemical_formula_sum 'Cu4 Se8'
_cell_length_a 3.6654
_cell_length_b 6.7493
_cell_length_c 9.4770
_cell_angle_alpha 90.00
_cell_angle_beta 90.00
_cell_angle_gamma 90.00
_symmetry_space_group_name_H-M 'C m c e'
_symmetry_Int_Tables_number 64
_symmetry_space_group_name_Hall '-C 2ac 2'
loop_
_atom_site_label
_atom_site_fract_x
_atom_site_fract_y
_atom_site_fract_z
Cu1 0.0000 0.0000 0.0000
Se1 0.0000 0.1979 0.3644
```

Peak list (6 most intense, 2θ = 10–90°, in order of rising 2θ)
| d (Å) | 2θ/deg | I (rel.) | index |
| --- | --- | --- | --- |
| 3.179 | 28.07 | 19.4 | 0 2 1 |
| 2.664 | 33.64 | 100.0 | 1 1 2 |
| 2.255 | 39.98 | 34.7 | 1 1 3 |
| 1.939 | 46.85 | 31.5 | 0 2 4 |
| 1.879 | 48.44 | 38.2 | 1 3 1 |
| 1.833 | 49.75 | 18.8 | 2 0 0 |